# 1
This entry pairs a crystal structure of Tb4Pm5Th with its computed XRD peak list. Radiation: Cu Kα (weighted mean of Kα1 and Kα2). Structure: a cell relaxed with GGA-PBE.
Lines closer than 0.1° are merged.

Most intense lines, 10° ≤ 2θ ≤ 90°, in order of falling intensity:
h k l	Position (°2θ)	intensity
1 2 2	33.46	100
1 2 -2	33.61	93
0 3 0	30.67	58
1 1 1	26.65	42
0 0 4	32.36	34
0 2 3	31.58	28
0 2 -3	31.87	26
0 1 0	10.12	23
0 1 -3	26.32	22
1 1 5	48.61	20
2 1 0	51.00	19
0 1 3	26.12	16

Crystal structure
Lattice parameters (Å, degrees): 3.582 8.922 11.067 89.41 89.99 78.58
Space group P-1 (No. 2)
One atom of each set of equivalent atoms:
1 Tb 0.025 0.449 0.251 (multiplicity 2)
2 Tb 0.353 0.797 0.254 (multiplicity 2)
3 Pm 0.170 0.159 0.446 (multiplicity 2)
4 Pm 0.173 0.151 0.055 (multiplicity 2)
5 Pm 0.500 0.500 0.000 (multiplicity 1)
6 Th 0.500 0.500 0.500 (multiplicity 1)

=====

# 2
This entry pairs a crystal structure of CaTb2Pm12 with its computed XRD peak list. Radiation: Cu Kα (weighted mean of Kα1 and Kα2). Structure: a cell relaxed with GGA-PBE.
Lines closer than 0.1° are merged.

Most intense lines, 10° ≤ 2θ ≤ 90°, in order of falling intensity:
h k l	Position (°2θ)	intensity
0 4 0	30.97	100
2 2 -4	31.67	98
0 2 7	29.36	92
2 2 3	31.76	66
2 2 1	29.60	43
2 4 -6	44.80	42
0 2 8	32.52	35
4 4 -1	60.32	29
2 0 -6	31.50	29
2 2 2	30.49	26
4 0 -1	50.38	26
0 2 9	35.81	23

Crystal structure
Lattice parameters (Å, degrees): 7.246 11.551 25.126 90.00 94.34 90.00
Space group C2/m (No. 12)
One atom of each set of equivalent atoms:
1 Ca 0.250 0.000 0.001 (multiplicity 4)
2 Tb 0.067 0.000 0.276 (multiplicity 4)
3 Tb 0.069 0.500 0.274 (multiplicity 4)
4 Pm 0.015 0.250 0.080 (multiplicity 8)
5 Pm 0.113 0.241 0.445 (multiplicity 8)
6 Pm 0.132 0.500 0.576 (multiplicity 4)
7 Pm 0.150 0.000 0.574 (multiplicity 4)
8 Pm 0.168 0.252 0.670 (multiplicity 8)
9 Pm 0.201 0.248 0.796 (multiplicity 8)
10 Pm 0.217 0.000 0.859 (multiplicity 4)
11 Pm 0.218 0.500 0.857 (multiplicity 4)

=====

# 3
This entry pairs a crystal structure of TbCd8Cu4 with its computed XRD peak list. Radiation: Cu Kα (weighted mean of Kα1 and Kα2). Structure: a cell relaxed with GGA-PBE.
Lines closer than 0.1° are merged.

Most intense lines, 10° ≤ 2θ ≤ 90°, in order of falling intensity:
h k l	Position (°2θ)	intensity
3 2 1	37.69	100
3 0 1	32.56	51
4 0 0	37.44	51
2 2 2	42.96	45
2 0 2	38.43	41
0 0 2	33.40	28
6 3 1	67.70	27
6 0 2	68.20	23
3 2 3	62.55	22
4 1 1	42.28	17
4 2 0	42.05	16
6 3 3	87.19	14

Crystal structure
Lattice parameters (Å, degrees): 9.609 9.609 5.365 90.00 90.00 90.00
Space group I4/mmm (No. 139)
One atom of each set of equivalent atoms:
1 Tb 0.000 0.000 0.000 (multiplicity 2)
2 Cd 0.000 0.215 0.500 (multiplicity 8)
3 Cd 0.000 0.340 0.000 (multiplicity 8)
4 Cu 0.250 0.250 0.250 (multiplicity 8)

=====

# 4
This entry pairs a crystal structure of Zr2MnH8 with its computed XRD peak list. Radiation: Cu Kα (weighted mean of Kα1 and Kα2). Structure: a cell relaxed with GGA-PBE.
Lines closer than 0.1° are merged.

Most intense lines, 10° ≤ 2θ ≤ 90°, in order of falling intensity:
h k l	Position (°2θ)	intensity
4 0 -1	31.36	100
1 1 -1	35.52	81
3 1 0	35.91	66
5 1 -2	58.29	33
4 2 -1	66.82	22
2 0 -2	44.30	21
7 1 -1	59.08	19
3 1 1	47.12	16
0 0 1	22.99	14
4 0 0	29.93	13
6 0 0	45.58	11
0 2 0	57.33	10

Crystal structure
Lattice parameters (Å, degrees): 12.617 3.214 4.089 90.00 108.84 90.00
Space group C2/m (No. 12)
One atom of each set of equivalent atoms:
1 Zr 0.144 0.000 0.144 (multiplicity 4)
2 Mn 0.000 0.500 0.500 (multiplicity 2)
3 H 0.000 0.000 0.282 (multiplicity 4)
4 H 0.118 0.500 0.401 (multiplicity 4)
5 H 0.118 0.500 0.834 (multiplicity 4)
6 H 0.239 0.000 0.739 (multiplicity 4)

=====

# 5
This entry pairs a crystal structure of CdAg2HgBr6 with its computed XRD peak list. Radiation: Cu Kα (weighted mean of Kα1 and Kα2). Structure: a cell relaxed with GGA-PBE.
Lines closer than 0.1° are merged.

Most intense lines, 10° ≤ 2θ ≤ 90°, in order of falling intensity:
h k l	Position (°2θ)	intensity
1 1 0	28.35	100
-2 1 3	37.47	99
3 0 -2	43.41	85
0 1 1	23.30	81
2 0 0	34.18	53
-1 1 1	16.90	41
3 -2 0	42.60	40
1 1 -1	24.66	35
1 0 -4	49.47	35
-5 4 4	75.77	14
2 2 -3	52.66	13
2 2 -4	58.70	12

Crystal structure
Lattice parameters (Å, degrees): 7.217 7.220 7.652 90.02 118.06 119.93
Space group P1 (No. 1)
One atom of each set of equivalent atoms:
1 Cd 0.000 0.000 0.000 (multiplicity 1)
2 Ag 0.580 0.791 0.371 (multiplicity 1)
3 Ag 0.598 0.299 0.896 (multiplicity 1)
4 Hg 0.014 0.507 0.520 (multiplicity 1)
5 Br 0.104 0.388 0.201 (multiplicity 1)
6 Br 0.105 0.206 0.701 (multiplicity 1)
7 Br 0.484 0.096 0.200 (multiplicity 1)
8 Br 0.496 0.900 0.701 (multiplicity 1)
9 Br 0.801 0.596 0.700 (multiplicity 1)
10 Br 0.812 0.716 0.201 (multiplicity 1)

=====

# 6
This entry pairs a crystal structure of Na2H6Rh with its computed XRD peak list. Radiation: Cu Kα (weighted mean of Kα1 and Kα2). Structure: a cell relaxed with GGA-PBE.
Lines closer than 0.1° are merged.

Most intense lines, 10° ≤ 2θ ≤ 90°, in order of falling intensity:
h k l	Position (°2θ)	intensity
1 0 3	33.86	100
1 0 1	21.64	93
1 1 0	27.90	90
2 1 3	53.28	55
0 0 2	18.11	40
1 1 2	33.46	31
2 0 0	39.86	31
2 1 1	45.81	23
1 1 6	64.03	15
3 1 0	65.23	14
3 2 3	82.35	14
2 0 2	44.11	14

Crystal structure
Lattice parameters (Å, degrees): 4.523 4.523 9.796 90.00 90.00 90.00
Space group P4_2/mnm (No. 136)
One atom of each set of equivalent atoms:
1 Na 0.000 0.000 0.162 (multiplicity 4)
2 H 0.161 0.161 0.367 (multiplicity 8)
3 H 0.242 0.242 0.000 (multiplicity 4)
4 Rh 0.000 0.000 0.500 (multiplicity 2)